# Li2CoP2O7
Computed X-ray diffraction stick pattern, CuKα. Input: a PBE+U-relaxed structure.
Kinematic intensities with the Lorentz-polarization factor, no thermal factor.

Principal peaks in the range 2θ from 10° to 90°, low angle first:
2theta	I/Imax	h k l
15.45	49	0 0 2
22.47	100	1 1 1
23.41	57	2 0 -2
32.13	57	1 1 3
34.72	55	3 1 -1
38.63	29	1 1 4

Structural model:
abc: 9.274 4.854 11.536
angles: 90.00 96.25 90.00
Space group C2/c (No. 15)
One atom of each set of equivalent atoms:
Li 0.148 0.228 0.161
Co 0.250 0.250 0.500
P 0.052 0.293 0.873
O 0.000 0.112 0.750
O 0.090 0.408 0.595
O 0.122 0.078 0.954
O 0.161 0.489 0.340